Starting from a structure optimized by DFT (GGA-PBE), the XRD peak list of SmAuSeO was simulated for copper Kα.
Intensities are scaled so that the largest is 100.

Largest 10 diffraction maxima, in order of rising 2θ, 2θ from 15° to 90°:
(hkl), 2θ/deg, I (rel.)
1 1 0, 21.63, 100
1 1 1, 23.24, 45
1 1 -2, 26.46, 74
1 1 2, 27.20, 64
1 1 -3, 31.76, 93
0 2 1, 31.80, 59
1 1 3, 32.71, 82
1 2 0, 34.51, 45
0 0 5, 39.90, 54
2 2 0, 44.07, 85

Atomic structure:
a b c (Å): 5.817 5.811 11.305
angles (deg): 90.00 92.31 90.00
Atoms (fractional coordinates):
Sm  0.007  0.000  0.096
Sm  0.493  0.001  0.903
Sm  0.507  0.501  0.097
Sm  0.993  0.500  0.904
Au  0.003  0.024  0.725
Au  0.314  0.277  0.504
Au  0.686  0.777  0.496
Au  0.997  0.524  0.275
Se  0.298  0.227  0.290
Se  0.304  0.323  0.717
Se  0.696  0.823  0.283
Se  0.702  0.727  0.710
O  0.249  0.250  0.002
O  0.251  0.750  0.000
O  0.749  0.250  0.000
O  0.751  0.750  0.998